This entry pairs a crystal structure of La2MgSbO6 with its simulated powder diffraction line list. Radiation: Cu Ka. Structure: a DFT-relaxed cell (GGA-PBE, the Materials Project).

Peak list (8 most intense, 2θ = 10–90°, by intensity)
2θ (°)  intensity
31.01  100
30.61  93
44.13  54
54.66  43
54.41  27
18.64  20
55.42  19
73.21  18

Atomic structure:
```
data_La2MgSbO6
_cell_length_a 5.7683
_cell_length_b 5.7683
_cell_length_c 5.7683
_cell_angle_alpha 60.84
_cell_angle_beta 60.84
_cell_angle_gamma 60.84
_symmetry_space_group_name_H-M 'P 1'
_symmetry_Int_Tables_number 1
loop_
_symmetry_equiv_pos_as_xyz
'x,y,z'
loop_
_atom_site_label
_atom_site_fract_x
_atom_site_fract_y
_atom_site_fract_z
La1 0.2494 0.2494 0.2494
La2 0.7506 0.7506 0.7506
Mg1 0.5000 0.5000 0.5000
Sb1 0.0000 0.0000 0.0000
O1 0.1585 0.7492 0.3456
O2 0.2508 0.6544 0.8415
O3 0.3456 0.1585 0.7492
O4 0.6544 0.8415 0.2508
O5 0.7492 0.3456 0.1585
O6 0.8415 0.2508 0.6544
```



This entry pairs a crystal structure of SrLaMgTaO6 with its simulated powder diffraction line list. Radiation: Cu Ka. Structure: a DFT-relaxed cell (GGA-PBE, the Materials Project).

Peak list (8 most intense, 2θ = 10–90°, by intensity)
2θ (°)  intensity
31.46  100
19.10  47
56.03  27
45.01  22
31.31  19
37.09  18
55.82  14
65.65  12

Atomic structure:
```
data_SrLaMgTaO6
_cell_length_a 5.6807
_cell_length_b 5.7137
_cell_length_c 9.8360
_cell_angle_alpha 90.00
_cell_angle_beta 125.24
_cell_angle_gamma 90.00
_symmetry_space_group_name_H-M 'P 1'
_symmetry_Int_Tables_number 1
loop_
_symmetry_equiv_pos_as_xyz
'x,y,z'
loop_
_atom_site_label
_atom_site_fract_x
_atom_site_fract_y
_atom_site_fract_z
Sr1 0.0000 0.2273 0.0000
Sr2 0.0000 0.7727 0.5000
La1 0.4794 0.2844 0.4976
La2 0.4794 0.7156 0.9976
Mg1 0.2439 0.2475 0.7504
Mg2 0.2439 0.7525 0.2504
Ta1 0.7437 0.2479 0.2496
Ta2 0.7437 0.7521 0.7496
O1 0.0123 0.4860 0.7946
O2 0.0123 0.5140 0.2946
O3 0.0676 0.0399 0.2958
O4 0.0676 0.9601 0.7958
O5 0.4429 0.4734 0.2121
O6 0.4429 0.5266 0.7121
O7 0.4932 0.0298 0.7051
O8 0.4932 0.9702 0.2051
O9 0.5723 0.2712 0.0081
O10 0.5723 0.7288 0.5081
O11 0.8954 0.2356 0.4931
O12 0.8954 0.7644 0.9931
```



This entry pairs a crystal structure of Sr2La2MgTi3O12 with its simulated powder diffraction line list. Radiation: Cu Ka. Structure: a DFT-relaxed cell (GGA-PBE, the Materials Project).

Peak list (8 most intense, 2θ = 10–90°, by intensity)
2θ (°)  intensity
32.00  100
31.90  48
39.42  36
45.73  35
56.87  30
57.03  19
22.41  18
66.92  17

Atomic structure:
```
data_Sr2La2MgTi3O12
_cell_length_a 15.7704
_cell_length_b 5.6187
_cell_length_c 5.6040
_cell_angle_alpha 90.00
_cell_angle_beta 90.08
_cell_angle_gamma 90.00
_symmetry_space_group_name_H-M 'P 1'
_symmetry_Int_Tables_number 1
loop_
_symmetry_equiv_pos_as_xyz
'x,y,z'
loop_
_atom_site_label
_atom_site_fract_x
_atom_site_fract_y
_atom_site_fract_z
Sr1 0.1225 0.0010 0.0031
Sr2 0.1225 0.4990 0.5031
Sr3 0.8775 0.5010 0.4969
Sr4 0.8775 0.9990 0.9969
La1 0.3826 0.5149 0.4824
La2 0.3826 0.9851 0.9824
La3 0.6174 0.0149 0.0176
La4 0.6174 0.4851 0.5176
Mg1 0.5000 0.0000 0.5000
Mg2 0.5000 0.5000 0.0000
Ti1 0.0000 0.0000 0.5000
Ti2 0.0000 0.5000 0.0000
Ti3 0.2506 0.0097 0.4880
Ti4 0.2506 0.4903 0.9880
Ti5 0.7494 0.5097 0.0120
Ti6 0.7494 0.9903 0.5120
O1 0.0126 0.2462 0.7540
O2 0.0126 0.2538 0.2540
O3 0.1246 0.5524 0.0022
O4 0.1246 0.9476 0.5022
O5 0.2320 0.2430 0.7635
O6 0.2320 0.2570 0.2635
O7 0.2703 0.7393 0.7483
O8 0.2703 0.7607 0.2483
O9 0.3682 0.0815 0.5140
O10 0.3682 0.4185 0.0140
O11 0.4763 0.7320 0.7319
O12 0.4763 0.7680 0.2319
O13 0.5237 0.2320 0.7681
O14 0.5237 0.2680 0.2681
O15 0.6318 0.5815 0.9860
O16 0.6318 0.9185 0.4860
O17 0.7297 0.2393 0.7517
O18 0.7297 0.2607 0.2517
O19 0.7680 0.7430 0.7365
O20 0.7680 0.7570 0.2365
O21 0.8754 0.0524 0.4978
O22 0.8754 0.4476 0.9978
O23 0.9874 0.7462 0.7460
O24 0.9874 0.7538 0.2460
```



This entry pairs a crystal structure of Sr2La2MgTi3O12 with its simulated powder diffraction line list. Radiation: Cu Ka. Structure: a DFT-relaxed cell (GGA-PBE, the Materials Project).

Peak list (8 most intense, 2θ = 10–90°, by intensity)
2θ (°)  intensity
32.03  100
45.82  28
39.45  21
31.90  19
57.08  19
66.98  18
56.93  17
22.45  14

Atomic structure:
```
data_Sr2La2MgTi3O12
_cell_length_a 5.5917
_cell_length_b 5.6108
_cell_length_c 7.8831
_cell_angle_alpha 89.96
_cell_angle_beta 89.96
_cell_angle_gamma 89.94
_symmetry_space_group_name_H-M 'P 1'
_symmetry_Int_Tables_number 1
loop_
_symmetry_equiv_pos_as_xyz
'x,y,z'
loop_
_atom_site_label
_atom_site_fract_x
_atom_site_fract_y
_atom_site_fract_z
Sr1 0.0000 0.0000 0.0000
Sr2 0.4846 0.4967 0.4901
La1 0.5038 0.4923 0.0077
La2 0.9740 0.9826 0.4816
Mg1 0.4904 0.9959 0.2442
Ti1 0.4879 0.9962 0.7430
Ti2 0.9908 0.4951 0.7462
Ti3 0.9939 0.4946 0.2453
O1 0.2183 0.7558 0.2810
O2 0.2238 0.7624 0.7074
O3 0.2535 0.2725 0.2100
O4 0.2597 0.2651 0.7824
O5 0.4927 0.9167 0.9838
O6 0.5037 0.0500 0.5063
O7 0.7418 0.7407 0.7095
O8 0.7436 0.7337 0.2775
O9 0.7492 0.2466 0.7822
O10 0.7553 0.2503 0.2131
O11 0.9893 0.5531 0.9911
O12 0.9945 0.4205 0.4997
```



This entry pairs a crystal structure of La3Mg2TaO9 with its simulated powder diffraction line list. Radiation: Cu Ka. Structure: a DFT-relaxed cell (GGA-PBE, the Materials Project).

Peak list (8 most intense, 2θ = 10–90°, by intensity)
2θ (°)  intensity
31.51  100
45.15  39
31.75  24
31.23  24
56.41  22
55.76  15
19.03  14
74.76  13

Atomic structure:
```
data_La3Mg2TaO9
_cell_length_a 8.0278
_cell_length_b 5.7274
_cell_length_c 18.7135
_cell_angle_alpha 90.00
_cell_angle_beta 115.37
_cell_angle_gamma 90.00
_symmetry_space_group_name_H-M 'P 1'
_symmetry_Int_Tables_number 1
loop_
_symmetry_equiv_pos_as_xyz
'x,y,z'
loop_
_atom_site_label
_atom_site_fract_x
_atom_site_fract_y
_atom_site_fract_z
La1 0.0796 0.0341 0.3389
La2 0.0796 0.4659 0.8389
La3 0.2343 0.5484 0.5036
La4 0.2343 0.9516 0.0036
La5 0.3921 0.0401 0.6561
La6 0.3921 0.4599 0.1561
La7 0.6079 0.5401 0.8439
La8 0.6079 0.9599 0.3439
La9 0.7657 0.0484 0.9964
La10 0.7657 0.4516 0.4964
La11 0.9204 0.5341 0.1611
La12 0.9204 0.9659 0.6611
Mg1 0.0000 0.0000 0.5000
Mg2 0.0000 0.5000 0.0000
Mg3 0.1701 0.5034 0.6689
Mg4 0.1701 0.9966 0.1689
Mg5 0.5000 0.0000 0.5000
Mg6 0.5000 0.5000 0.0000
Mg7 0.8299 0.0034 0.8311
Mg8 0.8299 0.4966 0.3311
Ta1 0.3346 0.5014 0.3332
Ta2 0.3346 0.9986 0.8332
Ta3 0.6654 0.0014 0.1668
Ta4 0.6654 0.4986 0.6668
O1 0.1180 0.2027 0.0710
O2 0.1180 0.2973 0.5710
O3 0.1193 0.0228 0.8611
O4 0.1193 0.4772 0.3611
O5 0.1424 0.7055 0.1001
O6 0.1424 0.7945 0.6001
O7 0.1947 0.2016 0.7383
O8 0.1947 0.2984 0.2383
O9 0.2178 0.7156 0.7677
O10 0.2178 0.7844 0.2677
O11 0.2249 0.5312 0.9717
O12 0.2249 0.9688 0.4717
O13 0.4453 0.2162 0.3992
O14 0.4453 0.2838 0.8992
O15 0.4580 0.0214 0.1988
O16 0.4580 0.4786 0.6988
O17 0.4769 0.7008 0.4266
O18 0.4769 0.7992 0.9266
O19 0.5231 0.2008 0.0734
O20 0.5231 0.2992 0.5734
O21 0.5420 0.5214 0.3012
O22 0.5420 0.9786 0.8012
O23 0.5547 0.7162 0.1008
O24 0.5547 0.7838 0.6008
O25 0.7751 0.0312 0.5283
O26 0.7751 0.4688 0.0283
O27 0.7822 0.2156 0.7323
O28 0.7822 0.2844 0.2323
O29 0.8053 0.7016 0.7617
O30 0.8053 0.7984 0.2617
O31 0.8576 0.2055 0.3999
O32 0.8576 0.2945 0.8999
O33 0.8807 0.5228 0.6389
O34 0.8807 0.9772 0.1389
O35 0.8820 0.7027 0.4290
O36 0.8820 0.7973 0.9290
```



This entry pairs a crystal structure of LaMg2TaO6 with its simulated powder diffraction line list. Radiation: Cu Ka. Structure: a DFT-relaxed cell (GGA-PBE, the Materials Project).

Peak list (8 most intense, 2θ = 10–90°, by intensity)
2θ (°)  intensity
16.86  100
28.99  98
31.19  84
49.89  58
23.41  48
39.36  43
35.30  38
58.25  29

Atomic structure:
```
data_LaMg2TaO6
_cell_length_a 7.3353
_cell_length_b 7.3353
_cell_length_c 7.3353
_cell_angle_alpha 124.41
_cell_angle_beta 117.59
_cell_angle_gamma 88.38
_symmetry_space_group_name_H-M 'P 1'
_symmetry_Int_Tables_number 1
loop_
_symmetry_equiv_pos_as_xyz
'x,y,z'
loop_
_atom_site_label
_atom_site_fract_x
_atom_site_fract_y
_atom_site_fract_z
La1 0.0000 0.0000 0.0000
La2 0.5000 0.0000 0.5000
Mg1 0.0000 0.0000 0.5000
Mg2 0.0000 0.5000 0.0000
Mg3 0.5000 0.0000 0.0000
Mg4 0.5000 0.5000 0.5000
Ta1 0.0000 0.5000 0.5000
Ta2 0.5000 0.5000 0.0000
O1 0.0566 0.4083 0.2231
O2 0.0566 0.8335 0.6483
O3 0.3148 0.1665 0.7231
O4 0.3148 0.5917 0.1483
O5 0.3249 0.5749 0.7500
O6 0.3938 0.1438 0.2500
O7 0.6062 0.8562 0.7500
O8 0.6751 0.4251 0.2500
O9 0.6852 0.4083 0.8517
O10 0.6852 0.8335 0.2769
O11 0.9434 0.1665 0.3517
O12 0.9434 0.5917 0.7769
```



This entry pairs a crystal structure of La4MgTi4O10 with its simulated powder diffraction line list. Radiation: Cu Ka. Structure: a DFT-relaxed cell (GGA-PBE, the Materials Project).

Peak list (8 most intense, 2θ = 10–90°, by intensity)
2θ (°)  intensity
31.98  100
30.84  76
30.32  41
22.53  37
22.40  34
31.16  33
45.72  29
34.19  28

Atomic structure:
```
data_La4MgTi4O10
_cell_length_a 5.7566
_cell_length_b 5.9120
_cell_length_c 8.8360
_cell_angle_alpha 108.10
_cell_angle_beta 107.50
_cell_angle_gamma 94.25
_symmetry_space_group_name_H-M 'P 1'
_symmetry_Int_Tables_number 1
loop_
_symmetry_equiv_pos_as_xyz
'x,y,z'
loop_
_atom_site_label
_atom_site_fract_x
_atom_site_fract_y
_atom_site_fract_z
La1 0.0000 0.0000 0.0000
La2 0.1634 0.2683 0.4677
La3 0.3329 0.6274 0.0003
La4 0.6372 0.8281 0.4678
Mg1 0.6334 0.2806 0.9336
Ti1 0.2504 0.9074 0.6967
Ti2 0.5813 0.2430 0.2181
Ti3 0.7789 0.4175 0.6965
Ti4 0.9697 0.6033 0.2182
O1 0.0284 0.6751 0.7232
O2 0.0350 0.1822 0.7371
O3 0.0687 0.8159 0.4531
O4 0.2754 0.4227 0.2185
O5 0.2836 0.9310 0.2356
O6 0.4283 0.0187 0.9628
O7 0.4902 0.6375 0.6469
O8 0.5099 0.1574 0.6868
O9 0.7165 0.2652 0.4529
O10 0.8677 0.5716 0.9627
```